# 1
Structure and theoretical PXRD pattern of CsEr2Cu3TeSe4 (the GGA-PBE geometry in OQMD; Cu Kα X-rays).

Structural model:
a b c (Å): 4.1692 14.6822 17.6486
angles (deg): 90.00 90.00 90.00
Space group Cmcm (No. 63)
One atom of each set of equivalent atoms:
Cs: 0.0000 0.0523 0.2500 x4
Er: 0.0000 0.1892 0.5854 x8
Cu: 0.0000 0.3520 0.2500 x4
Cu: 0.0000 0.4152 0.5323 x8
Te: 0.0000 0.2432 0.7500 x4
Se: 0.0000 0.1694 0.0714 x8
Se: 0.0000 0.4388 0.1093 x8

Main lines, low angle first (2θ from 5° to 70°):
- (1 3 0), 2θ 28.11, d = 3.175 Å, I 62
- (1 3 1), 2θ 28.58, d = 3.123 Å, I 100
- (1 3 2), 2θ 29.92, d = 2.986 Å, I 82
- (0 0 6), 2θ 30.39, d = 2.941 Å, I 99
- (2 0 0), 2θ 43.41, d = 2.085 Å, I 65
- (1 3 7), 2θ 45.97, d = 1.974 Å, I 67



# 2
Structure and theoretical PXRD pattern of Y2HoCu4Si2Ge2 (the GGA-PBE geometry in OQMD; Cu Kα X-rays).

Structural model:
a b c (Å): 4.1749 6.5807 13.7741
angles (deg): 90.00 90.00 90.00
Space group Immm (No. 71)
One atom of each set of equivalent atoms:
Y: 0.0000 0.0000 0.1295 x4
Ho: 0.0000 0.5000 0.0000 x2
Cu: 0.0000 0.1896 0.3369 x8
Si: 0.0000 0.3160 0.5000 x4
Ge: 0.0000 0.5000 0.2163 x4

Main lines, low angle first (2θ from 5° to 70°):
- (1 2 1), 2θ 35.33, d = 2.540 Å, I 100
- (1 1 4), 2θ 36.47, d = 2.463 Å, I 83
- (2 0 0), 2θ 43.35, d = 2.087 Å, I 32
- (0 3 3), 2θ 45.85, d = 1.979 Å, I 21
- (2 1 5), 2θ 57.10, d = 1.613 Å, I 14
- (1 0 9), 2θ 64.91, d = 1.437 Å, I 24



# 3
Structure and theoretical PXRD pattern of CuAg4 (the GGA-PBE geometry in OQMD; Cu Kα X-rays).

Structural model:
a b c (Å): 4.9909 4.9912 7.5905
angles (deg): 102.81 108.71 99.42
Space group P-1 (No. 2)
One atom of each set of equivalent atoms:
Cu: 0.0965 0.2965 0.0954 x2
Ag: 0.0972 0.8016 0.6036 x2
Ag: 0.2902 0.8912 0.2879 x2
Ag: 0.2976 0.4083 0.8062 x2
Ag: 0.5000 0.0000 0.0000 x1
Ag: 0.5000 0.5000 0.5000 x1

Main lines, low angle first (2θ from 5° to 70°):
- (1 1 1), 2θ 38.13, d = 2.360 Å, I 50
- (1 -2 0), 2θ 38.31, d = 2.349 Å, I 100
- (2 0 -2), 2θ 38.35, d = 2.347 Å, I 50
- (1 2 -2), 2θ 44.38, d = 2.041 Å, I 65
- (-1 1 3), 2θ 44.71, d = 2.027 Å, I 31
- (1 -3 3), 2θ 64.66, d = 1.442 Å, I 20



# 4
Structure and theoretical PXRD pattern of Ba11Cd8Bi14 (the GGA-PBE geometry in OQMD; Cu Kα X-rays).

Structural model:
a b c (Å): 28.5959 4.9929 17.0539
angles (deg): 90.00 91.40 90.00
Space group C2/m (No. 12)
One atom of each set of equivalent atoms:
Ba: 0.0000 0.0000 0.0000 x2
Ba: 0.0088 0.5000 0.3652 x4
Ba: 0.1189 0.0000 0.1613 x4
Ba: 0.1448 0.5000 0.5358 x4
Ba: 0.1548 0.0000 0.9029 x4
Ba: 0.2447 0.0000 0.7021 x4
Cd: 0.0599 0.5000 0.8438 x4
Cd: 0.0955 0.0000 0.6880 x4
Cd: 0.1225 0.0000 0.3891 x4
Cd: 0.2021 0.5000 0.0423 x4
Bi: 0.0089 0.0000 0.7908 x4
Bi: 0.0572 0.0000 0.5215 x4
Bi: 0.0932 0.5000 0.0150 x4
Bi: 0.1323 0.5000 0.3031 x4
Bi: 0.1503 0.5000 0.7416 x4
Bi: 0.2277 0.0000 0.4588 x4
Bi: 0.2438 0.0000 0.1182 x4

Main lines, low angle first (2θ from 5° to 70°):
- (1 1 3), 2θ 23.98, d = 3.711 Å, I 44
- (7 1 -1), 2θ 28.63, d = 3.118 Å, I 61
- (7 1 1), 2θ 28.82, d = 3.098 Å, I 61
- (3 1 -4), 2θ 28.93, d = 3.087 Å, I 37
- (3 1 4), 2θ 29.26, d = 3.052 Å, I 57
- (0 2 0), 2θ 35.97, d = 2.497 Å, I 100